(1)
Diffraction record for Dy6ErTm3. The PXRD pattern is calculated, not measured: it uses a PBE-relaxed structure and Cu Ka.

Structure:
Cell lengths 9.5554, 20.7211, 6.2988 Å; angles 90.00, 90.00, 90.00 degrees
Space group Cmc2_1 (No. 36)
One atom of each set of equivalent atoms:
Dy  0.0000  0.0155  0.0000
Dy  0.0000  0.3005  0.0343
Dy  0.1765  0.2808  0.4934
Dy  0.1813  0.4402  0.2514
Er  0.0000  0.1607  0.8037
Tm  0.0000  0.4189  0.7274
Tm  0.1687  0.1260  0.3300

Largest 8 diffraction maxima, low angle first, 5° ≤ 2θ ≤ 70°:
- hkl 2 4 1, 3.067 Å, 2θ = 29.11°, I = 69
- hkl 0 6 1, 3.028 Å, 2θ = 29.50°, I = 41
- hkl 1 7 0, 2.828 Å, 2θ = 31.64°, I = 62
- hkl 3 1 1, 2.816 Å, 2θ = 31.78°, I = 100
- hkl 1 3 2, 2.745 Å, 2θ = 32.62°, I = 61
- hkl 0 4 2, 2.691 Å, 2θ = 33.29°, I = 43
- hkl 3 3 1, 2.629 Å, 2θ = 34.11°, I = 66
- hkl 5 7 0, 1.605 Å, 2θ = 57.40°, I = 43

=====

(2)
Diffraction record for DyEr7Tm3. The PXRD pattern is calculated, not measured: it uses a PBE-relaxed structure and Cu Ka.

Structure:
Cell lengths 12.3935, 11.0198, 5.6939 Å; angles 90.00, 117.27, 90.00 degrees
Space group C2/m (No. 12)
One atom of each set of equivalent atoms:
Dy  0.0000  0.0000  0.0000
Er  0.0000  0.0000  0.5000
Er  0.2005  0.3006  0.2003
Er  0.2072  0.5000  0.7062
Tm  0.0000  0.2935  0.5000
Tm  0.0000  0.5000  0.0000

Largest 8 diffraction maxima, low angle first, 5° ≤ 2θ ≤ 70°:
- hkl 1 3 0, 3.484 Å, 2θ = 25.57°, I = 18
- hkl 4 0 -1, 3.086 Å, 2θ = 28.93°, I = 12
- hkl 2 0 -2, 2.847 Å, 2θ = 31.42°, I = 38
- hkl 4 0 0, 2.754 Å, 2θ = 32.51°, I = 29
- hkl 3 3 -1, 2.693 Å, 2θ = 33.28°, I = 100
- hkl 6 0 -2, 1.980 Å, 2θ = 45.84°, I = 23
- hkl 5 3 -3, 1.612 Å, 2θ = 57.13°, I = 22
- hkl 8 2 -1, 1.463 Å, 2θ = 63.62°, I = 18

=====

(3)
Diffraction record for Dy2Er3Tm8. The PXRD pattern is calculated, not measured: it uses a PBE-relaxed structure and Cu Ka.

Structure:
Cell lengths 5.5124, 6.7125, 21.8865 Å; angles 90.00, 90.00, 90.00 degrees
Space group Immm (No. 71)
One atom of each set of equivalent atoms:
Dy  0.0000  0.0000  0.2227
Er  0.0000  0.2645  0.5000
Er  0.0000  0.5000  0.0000
Tm  0.0000  0.0000  0.0747
Tm  0.0000  0.2612  0.3477
Tm  0.0000  0.5000  0.1842

Largest 8 diffraction maxima, low angle first, 5° ≤ 2θ ≤ 70°:
- hkl 0 0 6, 3.648 Å, 2θ = 24.40°, I = 17
- hkl 1 2 1, 2.842 Å, 2θ = 31.48°, I = 100
- hkl 1 1 6, 2.771 Å, 2θ = 32.31°, I = 44
- hkl 2 0 0, 2.756 Å, 2θ = 32.49°, I = 52
- hkl 1 0 7, 2.720 Å, 2θ = 32.93°, I = 48
- hkl 1 2 5, 2.398 Å, 2θ = 37.50°, I = 21
- hkl 0 4 0, 1.679 Å, 2θ = 54.66°, I = 19
- hkl 3 2 1, 1.607 Å, 2θ = 57.32°, I = 17

=====

(4)
Diffraction record for Dy10ErTm4. The PXRD pattern is calculated, not measured: it uses a PBE-relaxed structure and Cu Ka.

Structure:
Cell lengths 12.0276, 12.0276, 7.6065 Å; angles 90.00, 90.00, 90.00 degrees
Space group I4/m (No. 87)
One atom of each set of equivalent atoms:
Dy  0.0000  0.5000  0.2500
Dy  0.0998  0.2003  0.2503
Er  0.0000  0.0000  0.0000
Tm  0.1003  0.7001  0.5000

Largest 8 diffraction maxima, low angle first, 5° ≤ 2θ ≤ 70°:
- hkl 1 2 1, 4.392 Å, 2θ = 20.22°, I = 27
- hkl 3 1 0, 3.803 Å, 2θ = 23.39°, I = 12
- hkl 3 1 2, 2.689 Å, 2θ = 33.32°, I = 100
- hkl 5 0 1, 2.294 Å, 2θ = 39.28°, I = 15
- hkl 6 2 0, 1.902 Å, 2θ = 47.83°, I = 18
- hkl 5 0 3, 1.745 Å, 2θ = 52.43°, I = 7
- hkl 5 5 2, 1.553 Å, 2θ = 59.54°, I = 38
- hkl 6 2 4, 1.345 Å, 2θ = 69.96°, I = 12

=====

(5)
Diffraction record for DyEr2Tm12. The PXRD pattern is calculated, not measured: it uses a PBE-relaxed structure and Cu Ka.

Structure:
Cell lengths 3.5737, 5.5546, 23.0925 Å; angles 90.00, 94.40, 90.00 degrees
Space group P2/m (No. 10)
One atom of each set of equivalent atoms:
Dy  0.0000  0.0000  0.0000
Er  0.1424  0.0000  0.2847
Tm  0.0975  0.5000  0.1931
Tm  0.2207  0.5000  0.4428
Tm  0.2893  0.0000  0.5760
Tm  0.3391  0.5000  0.6778
Tm  0.4264  0.0000  0.8525
Tm  0.4630  0.5000  0.9328

Largest 8 diffraction maxima, low angle first, 5° ≤ 2θ ≤ 70°:
- hkl 1 0 4, 2.930 Å, 2θ = 30.51°, I = 16
- hkl 0 1 7, 2.830 Å, 2θ = 31.61°, I = 31
- hkl 0 2 0, 2.777 Å, 2θ = 32.23°, I = 46
- hkl 1 1 -4, 2.734 Å, 2θ = 32.76°, I = 100
- hkl 1 1 4, 2.591 Å, 2θ = 34.61°, I = 24
- hkl 0 1 8, 2.555 Å, 2θ = 35.12°, I = 18
- hkl 1 3 -4, 1.595 Å, 2θ = 57.81°, I = 20
- hkl 2 2 -1, 1.503 Å, 2θ = 61.73°, I = 14

=====

(6)
Diffraction record for Dy4Er3Tm3. The PXRD pattern is calculated, not measured: it uses a PBE-relaxed structure and Cu Ka.

Structure:
Cell lengths 3.6803, 12.9496, 12.9546 Å; angles 90.00, 90.00, 90.00 degrees
Space group Amm2 (No. 38)
One atom of each set of equivalent atoms:
Dy  0.0000  0.0000  0.0000
Dy  0.0000  0.0000  0.2570
Dy  0.0000  0.1283  0.6288
Er  0.5000  0.0000  0.4583
Er  0.5000  0.1703  0.1285
Tm  0.0000  0.2505  0.3785
Tm  0.5000  0.0000  0.7989

Largest 8 diffraction maxima, low angle first, 5° ≤ 2θ ≤ 70°:
- hkl 0 4 0, 3.238 Å, 2θ = 27.55°, I = 12
- hkl 0 4 2, 2.896 Å, 2θ = 30.87°, I = 62
- hkl 1 2 2, 2.869 Å, 2θ = 31.18°, I = 28
- hkl 1 1 3, 2.738 Å, 2θ = 32.71°, I = 100
- hkl 1 5 3, 1.902 Å, 2θ = 47.83°, I = 12
- hkl 1 4 6, 1.614 Å, 2θ = 57.06°, I = 15
- hkl 2 4 2, 1.553 Å, 2θ = 59.52°, I = 20
- hkl 1 7 3, 1.544 Å, 2θ = 59.91°, I = 18

=====

(7)
Diffraction record for Dy5ErTm4. The PXRD pattern is calculated, not measured: it uses a PBE-relaxed structure and Cu Ka.

Structure:
Cell lengths 16.6517, 3.4920, 11.1993 Å; angles 90.00, 108.73, 90.00 degrees
Space group C2/m (No. 12)
One atom of each set of equivalent atoms:
Dy  0.0000  0.0000  0.0000
Dy  0.1890  0.5000  0.0763
Dy  0.2124  0.5000  0.6180
Er  0.0000  0.0000  0.5000
Tm  0.0828  0.5000  0.2935
Tm  0.1056  0.0000  0.7955

Largest 8 diffraction maxima, low angle first, 5° ≤ 2θ ≤ 70°:
- hkl 3 1 -1, 2.942 Å, 2θ = 30.39°, I = 24
- hkl 3 1 0, 2.909 Å, 2θ = 30.74°, I = 25
- hkl 2 0 -4, 2.799 Å, 2θ = 31.97°, I = 60
- hkl 1 1 2, 2.781 Å, 2θ = 32.18°, I = 34
- hkl 4 0 2, 2.767 Å, 2θ = 32.36°, I = 100
- hkl 6 0 -2, 2.729 Å, 2θ = 32.81°, I = 54
- hkl 3 1 1, 2.686 Å, 2θ = 33.36°, I = 26
- hkl 0 2 0, 1.747 Å, 2θ = 52.38°, I = 28

=====

(8)
Diffraction record for Dy2YEr2Tm. The PXRD pattern is calculated, not measured: it uses a PBE-relaxed structure and Cu Ka.

Structure:
Cell lengths 6.9124, 16.0430, 3.4616 Å; angles 90.00, 90.00, 90.00 degrees
Space group Pnnm (No. 58)
One atom of each set of equivalent atoms:
Dy  0.2490  0.1574  0.0000
Y  0.0000  0.5000  0.0000
Er  0.2505  0.3450  0.5000
Tm  0.0000  0.0000  0.5000

Largest 8 diffraction maxima, low angle first, 5° ≤ 2θ ≤ 70°:
- hkl 2 2 0, 3.174 Å, 2θ = 28.11°, I = 40
- hkl 0 3 1, 2.906 Å, 2θ = 30.77°, I = 100
- hkl 0 6 0, 2.674 Å, 2θ = 33.51°, I = 36
- hkl 2 4 0, 2.618 Å, 2θ = 34.25°, I = 48
- hkl 2 1 1, 2.418 Å, 2θ = 37.19°, I = 57
- hkl 4 0 0, 1.729 Å, 2θ = 52.94°, I = 23
- hkl 2 7 1, 1.672 Å, 2θ = 54.90°, I = 31
- hkl 4 3 1, 1.485 Å, 2θ = 62.53°, I = 26

=====

(9)
Diffraction record for DyYEr2Tm. The PXRD pattern is calculated, not measured: it uses a PBE-relaxed structure and Cu Ka.

Structure:
Cell lengths 8.2753, 11.3498, 7.1578 Å; angles 90.00, 90.00, 90.00 degrees
Space group Cmcm (No. 63)
One atom of each set of equivalent atoms:
Dy  0.0000  0.2184  0.2500
Y  0.0000  0.2301  0.7500
Er  0.1912  0.0000  0.0000
Tm  0.0000  0.4905  0.2500

Largest 8 diffraction maxima, low angle first, 5° ≤ 2θ ≤ 70°:
- hkl 0 2 0, 5.675 Å, 2θ = 15.62°, I = 47
- hkl 1 1 2, 3.155 Å, 2θ = 28.28°, I = 41
- hkl 0 2 2, 3.027 Å, 2θ = 29.51°, I = 49
- hkl 0 4 0, 2.837 Å, 2θ = 31.53°, I = 61
- hkl 2 0 2, 2.707 Å, 2θ = 33.09°, I = 100
- hkl 1 3 2, 2.480 Å, 2θ = 36.22°, I = 59
- hkl 3 3 0, 2.229 Å, 2θ = 40.48°, I = 48
- hkl 2 4 2, 1.959 Å, 2θ = 46.36°, I = 64

=====

(10)
Diffraction record for Dy6Y2Er3Tm. The PXRD pattern is calculated, not measured: it uses a PBE-relaxed structure and Cu Ka.

Structure:
Cell lengths 6.1239, 10.5939, 11.7034 Å; angles 90.00, 100.00, 90.00 degrees
Space group C2/m (No. 12)
One atom of each set of equivalent atoms:
Dy  0.2482  0.0000  0.2488
Dy  0.2502  0.1662  0.7511
Y  0.0000  0.3334  0.5000
Er  0.0000  0.1667  0.0000
Er  0.0000  0.5000  0.0000
Tm  0.0000  0.0000  0.5000

Largest 8 diffraction maxima, low angle first, 5° ≤ 2θ ≤ 70°:
- hkl 0 0 1, 11.526 Å, 2θ = 7.67°, I = 4
- hkl 1 3 1, 2.884 Å, 2θ = 31.01°, I = 100
- hkl 2 0 2, 2.497 Å, 2θ = 35.96°, I = 51
- hkl 1 3 5, 1.766 Å, 2θ = 51.77°, I = 36
- hkl 4 0 0, 1.506 Å, 2θ = 61.56°, I = 28
- hkl 0 6 4, 1.505 Å, 2θ = 61.62°, I = 14
- hkl 2 6 2, 1.442 Å, 2θ = 64.62°, I = 9
- hkl 0 0 8, 1.441 Å, 2θ = 64.70°, I = 3

=====

(11)
Diffraction record for Dy6Y4Er19. The PXRD pattern is calculated, not measured: it uses a PBE-relaxed structure and Cu Ka.

Structure:
Cell lengths 12.3770, 12.3770, 12.3770 Å; angles 90.00, 90.00, 90.00 degrees
Space group I23 (No. 197)
One atom of each set of equivalent atoms:
Dy  0.0000  0.3715  0.5000
Y  0.1787  0.1787  0.8213
Er  0.0000  0.0000  0.0000
Er  0.0000  0.0000  0.2617
Er  0.0637  0.2606  0.2763

Largest 8 diffraction maxima, low angle first, 5° ≤ 2θ ≤ 70°:
- hkl 3 1 2, 3.308 Å, 2θ = 26.95°, I = 75
- hkl 4 0 0, 3.094 Å, 2θ = 28.85°, I = 88
- hkl 4 1 1, 2.917 Å, 2θ = 30.65°, I = 100
- hkl 4 2 2, 2.526 Å, 2θ = 35.53°, I = 59
- hkl 4 1 3, 2.427 Å, 2θ = 37.04°, I = 95
- hkl 5 4 1, 1.910 Å, 2θ = 47.61°, I = 27
- hkl 6 3 3, 1.684 Å, 2θ = 54.48°, I = 28
- hkl 7 1 4, 1.524 Å, 2θ = 60.80°, I = 38

=====

(12)
Diffraction record for Dy2Y7Er2. The PXRD pattern is calculated, not measured: it uses a PBE-relaxed structure and Cu Ka.

Structure:
Cell lengths 5.5140, 15.8580, 8.1456 Å; angles 90.00, 90.00, 90.00 degrees
Space group Imm2 (No. 44)
One atom of each set of equivalent atoms:
Dy  0.0000  0.2009  0.0000
Y  0.0000  0.0000  0.7991
Y  0.0000  0.1606  0.5014
Y  0.0000  0.3610  0.2921
Y  0.0000  0.3632  0.7072
Er  0.0000  0.0000  0.2118
Er  0.0000  0.5000  0.0012

Largest 8 diffraction maxima, low angle first, 5° ≤ 2θ ≤ 70°:
- hkl 1 0 1, 4.566 Å, 2θ = 19.44°, I = 11
- hkl 1 4 1, 2.994 Å, 2θ = 29.85°, I = 31
- hkl 1 3 2, 2.785 Å, 2θ = 32.14°, I = 100
- hkl 2 0 0, 2.755 Å, 2θ = 32.50°, I = 49
- hkl 0 6 0, 2.643 Å, 2θ = 33.92°, I = 13
- hkl 3 3 2, 1.597 Å, 2θ = 57.73°, I = 18
- hkl 1 10 1, 1.498 Å, 2θ = 61.97°, I = 12
- hkl 2 7 3, 1.471 Å, 2θ = 63.21°, I = 12